Entry 1:
Diffraction record for Ag6Te2BrCl2. The powder X-ray diffraction pattern is calculated, not measured: it uses a PBE-relaxed structure and Cu Kα X-rays.
Kinematic intensities with the Lorentz-polarization factor, no thermal factor.

Most intense lines, 2θ = 10–90°, low angle first:
Position (°2θ)  intensity
12.86  100
15.20  37
20.84  30
27.35  35
32.12  29
38.39  26
42.42  33
42.58  28

abc: 7.5480 7.5543 7.5858
angles: 68.88 69.05 62.82
Space group P-1 (No. 2)
Unique sites:
Ag (0.0226, 0.0248, 0.2253)
Ag (0.1654, 0.5599, 0.3762)
Ag (0.4413, 0.8334, 0.6231)
Te (0.1713, 0.1720, 0.4041)
Br (0.5000, 0.5000, 0.5000)
Cl (0.2453, 0.7570, 0.0003)



Entry 2:
Diffraction record for Co5AgBr12. The powder X-ray diffraction pattern is calculated, not measured: it uses a PBE-relaxed structure and Cu Kα X-rays.
Kinematic intensities with the Lorentz-polarization factor, no thermal factor.

Most intense lines, 2θ = 10–90°, low angle first:
Position (°2θ)  intensity
13.20  100
28.29  18
30.57  79
34.12  56
38.60  32
43.76  34
49.06  37
49.50  18

abc: 6.4919 11.2619 13.4102
angles: 90.00 90.02 90.00
Space group C2/m (No. 12)
Unique sites:
Co (0.0000, 0.0000, 0.0000)
Co (0.0000, 0.1668, 0.5000)
Co (0.0000, 0.3334, 0.0000)
Ag (0.0000, 0.5000, 0.5000)
Br (0.1238, 0.0000, 0.6040)
Br (0.1664, 0.1663, 0.8951)
Br (0.1672, 0.5000, 0.8948)
Br (0.1895, 0.3119, 0.6039)



Entry 3:
Diffraction record for CoAg2Br5. The powder X-ray diffraction pattern is calculated, not measured: it uses a PBE-relaxed structure and Cu Kα X-rays.
Kinematic intensities with the Lorentz-polarization factor, no thermal factor.

Most intense lines, 2θ = 10–90°, low angle first:
Position (°2θ)  intensity
10.73  66
13.28  100
17.00  47
21.55  38
27.59  44
27.83  83
38.00  58
41.12  70

abc: 11.6504 11.6728 8.1277
angles: 90.00 90.00 90.00
Space group Pnnm (No. 58)
Unique sites:
Co (0.2430, 0.2388, 0.0000)
Ag (0.0000, 0.0000, 0.2567)
Ag (0.1195, 0.3517, 0.5000)
Br (0.0599, 0.1475, 0.0000)
Br (0.0979, 0.1245, 0.5000)
Br (0.1138, 0.5963, 0.5000)
Br (0.2365, 0.8586, 0.2698)



Entry 4:
Diffraction record for CoAg3Br6. The powder X-ray diffraction pattern is calculated, not measured: it uses a PBE-relaxed structure and Cu Kα X-rays.
Kinematic intensities with the Lorentz-polarization factor, no thermal factor.

Most intense lines, 2θ = 10–90°, low angle first:
Position (°2θ)  intensity
19.36  50
21.36  72
25.28  100
25.52  83
29.76  54
32.89  75
46.32  37
49.71  37

abc: 8.0725 7.5429 10.1182
angles: 90.00 99.72 90.00
Space group P2_1 (No. 4)
Unique sites:
Co (0.1861, 0.0000, 0.3365)
Ag (0.0723, 0.0277, 0.7712)
Ag (0.3287, 0.5384, 0.6640)
Ag (0.4288, 0.6005, 0.0417)
Br (0.0170, 0.4713, 0.5197)
Br (0.1154, 0.2187, 0.1764)
Br (0.2056, 0.7233, 0.2235)
Br (0.2993, 0.3226, 0.8703)
Br (0.3546, 0.8378, 0.8276)
Br (0.4359, 0.0567, 0.4848)



Entry 5:
Diffraction record for Cs3CoAg2Br9. The powder X-ray diffraction pattern is calculated, not measured: it uses a PBE-relaxed structure and Cu Kα X-rays.
Kinematic intensities with the Lorentz-polarization factor, no thermal factor.

Most intense lines, 2θ = 10–90°, low angle first:
Position (°2θ)  intensity
23.16  25
23.29  25
28.49  53
28.70  17
33.07  100
47.33  34
47.61  34
58.95  17

abc: 7.6822 7.6822 9.3301
angles: 90.00 90.00 120.00
Space group P-3m1 (No. 164)
Unique sites:
Cs (0.0000, 0.0000, 0.0000)
Cs (0.3333, 0.6667, 0.6716)
Co (0.0000, 0.0000, 0.5000)
Ag (0.3333, 0.6667, 0.1722)
Br (0.0000, 0.5000, 0.0000)
Br (0.1525, 0.3051, 0.3471)



Entry 6:
Diffraction record for Sm6Co2AgBr3. The powder X-ray diffraction pattern is calculated, not measured: it uses a PBE-relaxed structure and Cu Kα X-rays.
Kinematic intensities with the Lorentz-polarization factor, no thermal factor.

Most intense lines, 2θ = 10–90°, low angle first:
Position (°2θ)  intensity
11.53  23
29.42  43
29.74  100
40.61  25
43.99  29
45.04  18
54.71  15
58.28  16

abc: 19.3846 4.0258 9.0839
angles: 90.00 110.01 90.00
Space group C2/m (No. 12)
Unique sites:
Sm (0.0273, 0.0000, 0.2558)
Sm (0.1649, 0.5000, 0.1361)
Sm (0.1831, 0.5000, 0.5590)
Co (0.1690, 0.0000, 0.3413)
Ag (0.0000, 0.5000, 0.0000)
Br (0.0000, 0.5000, 0.5000)
Br (0.1660, 0.0000, 0.8367)



Entry 7:
Diffraction record for Cs2AgBr4. The powder X-ray diffraction pattern is calculated, not measured: it uses a PBE-relaxed structure and Cu Kα X-rays.
Kinematic intensities with the Lorentz-polarization factor, no thermal factor.

Most intense lines, 2θ = 10–90°, low angle first:
Position (°2θ)  intensity
11.00  48
23.96  100
28.71  97
31.47  81
36.65  28
39.94  46
45.10  28
49.06  47

abc: 8.0404 8.0404 4.9038
angles: 90.00 90.00 90.00
Space group P4/mmm (No. 123)
Unique sites:
Cs (0.0000, 0.5000, 0.0000)
Ag (0.0000, 0.0000, 0.5000)
Br (0.2306, 0.2306, 0.5000)



Entry 8:
Diffraction record for CsAg3Br4. The powder X-ray diffraction pattern is calculated, not measured: it uses a PBE-relaxed structure and Cu Kα X-rays.
Kinematic intensities with the Lorentz-polarization factor, no thermal factor.

Most intense lines, 2θ = 10–90°, low angle first:
Position (°2θ)  intensity
24.68  100
27.08  91
31.37  63
38.67  57
40.32  27
41.91  55
44.96  60
65.46  38

abc: 8.0655 8.0655 8.0655
angles: 90.00 90.00 90.00
Space group Pm-3n (No. 223)
Unique sites:
Cs (0.0000, 0.0000, 0.0000)
Ag (0.0000, 0.2500, 0.5000)
Br (0.2500, 0.2500, 0.2500)



Entry 9:
Diffraction record for CsAgBr2. The powder X-ray diffraction pattern is calculated, not measured: it uses a PBE-relaxed structure and Cu Kα X-rays.
Kinematic intensities with the Lorentz-polarization factor, no thermal factor.

Most intense lines, 2θ = 10–90°, low angle first:
Position (°2θ)  intensity
23.48  89
25.59  31
29.12  55
30.63  76
33.45  100
45.99  48
48.04  35
49.86  37

abc: 5.3572 5.3572 10.4420
angles: 90.00 90.00 90.00
Space group P4/nmm (No. 129, origin choice 2)
Unique sites:
Cs (0.2500, 0.2500, 0.2044)
Ag (0.2500, 0.2500, 0.5987)
Br (0.2500, 0.2500, 0.8535)
Br (0.2500, 0.7500, 0.5000)